1.
Tb2NdIn3AgIr2: calculated powder XRD pattern (Cu Kα, 1.54184 Å), based on a structure optimized by DFT (PBE).
Kinematic intensities with the Lorentz-polarization factor, no thermal factor.

Structure:
a b c (Å): 3.932 7.748 7.748
angles (deg): 120.46 90.00 90.00
Atoms (fractional coordinates):
Tb 0.000 0.207 0.793
Tb 0.000 0.793 0.207
Nd 0.000 0.620 0.620
In 0.500 0.205 0.473
In 0.500 0.473 0.205
In 0.500 0.943 0.943
Ag 0.000 0.205 0.205
Ir 0.500 0.540 0.878
Ir 0.500 0.878 0.540

Principal peaks in the range 2θ from 10° to 90°, in order of rising 2θ:
2theta  d (Å)  I/Imax
32.44  2.760  77
32.56  2.750  41
35.11  2.556  37
35.27  2.544  100
40.52  2.226  38
46.17  1.966  31


2.
Y3In3AgIrPt: calculated powder XRD pattern (Cu Kα, 1.54184 Å), based on a structure optimized by DFT (PBE).
Kinematic intensities with the Lorentz-polarization factor, no thermal factor.

Structure:
a b c (Å): 7.796 7.796 3.815
angles (deg): 90.00 90.00 120.00
Atoms (fractional coordinates):
Y 0.009 0.416 0.000
Y 0.407 0.991 0.000
Y 0.584 0.593 0.000
In 0.001 0.732 0.500
In 0.268 0.269 0.500
In 0.731 0.999 0.500
Ag 0.000 0.000 0.000
Ir 0.333 0.667 0.500
Pt 0.667 0.333 0.500

Principal peaks in the range 2θ from 10° to 90°, in order of rising 2θ:
2theta  d (Å)  I/Imax
32.85  2.727  90
35.17  2.552  43
35.51  2.528  100
40.06  2.251  67
42.62  2.121  49
64.98  1.435  39